The following is a theoretical XRD peak list of CaMnF5. It was derived from a PBE+U-relaxed structure, using Cu Ka.
Intensities are scaled so that the largest is 100.

Largest 8 diffraction maxima, sorted by position, 2θ from 10° to 90°:
index  2theta  d/Å  I/Imax
1 1 0  19.37  4.582  59
1 2 0  24.71  3.603  95
0 1 2  25.38  3.509  100
0 2 2  29.72  3.006  35
2 3 0  44.34  2.043  36
1 0 -4  45.14  2.009  30
1 4 2  50.24  1.816  25
2 4 -2  50.37  1.812  23

Structural model:
```
data_CaMnF5
_symmetry_space_group_name_H-M 'P 1 21/c 1'
_symmetry_Int_Tables_number 14
_cell_length_a 5.511
_cell_length_b 10.099
_cell_length_c 8.034
_cell_angle_alpha 90.00
_cell_angle_beta 111.10
_cell_angle_gamma 90.00
loop_
_symmetry_equiv_pos_as_xyz
'x,y,z'
'-x,-y,-z'
'-x,y+1/2,-z+1/2'
'x,-y+1/2,z+1/2'
loop_
_atom_site_label
_atom_site_type_symbol
_atom_site_fract_x
_atom_site_fract_y
_atom_site_fract_z
Ca1 Ca 0.029 0.020 0.255
Mn1 Mn 0.383 0.247 0.598
F1 F 0.106 0.119 0.559
F2 F 0.136 0.113 0.002
F3 F 0.325 0.193 0.333
F4 F 0.342 0.634 0.364
F5 F 0.381 0.610 0.807
```

The following is a theoretical XRD peak list of CaMn8O13F3. It was derived from a PBE+U-relaxed structure, using Cu Ka.
Intensities are scaled so that the largest is 100.

Largest 8 diffraction maxima, sorted by position, 2θ from 10° to 90°:
index  2theta  d/Å  I/Imax
1 -1 1  24.36  3.654  100
1 1 -1  24.74  3.599  50
1 2 0  29.64  3.014  70
1 0 -2  30.83  2.900  57
1 -2 0  31.17  2.869  49
2 1 1  34.06  2.632  43
0 2 2  34.62  2.591  57
2 0 -2  42.15  2.144  64

Structural model:
```
data_CaMn8O13F3
_symmetry_space_group_name_H-M 'P 1'
_symmetry_Int_Tables_number 1
_cell_length_a 5.783
_cell_length_b 6.892
_cell_length_c 7.110
_cell_angle_alpha 83.77
_cell_angle_beta 84.94
_cell_angle_gamma 86.24
loop_
_symmetry_equiv_pos_as_xyz
'x,y,z'
loop_
_atom_site_label
_atom_site_type_symbol
_atom_site_fract_x
_atom_site_fract_y
_atom_site_fract_z
Ca1 Ca 0.000 0.000 0.000
Mn1 Mn 0.101 0.639 0.272
Mn2 Mn 0.188 0.249 0.613
Mn3 Mn 0.287 0.683 0.744
Mn4 Mn 0.371 0.169 0.251
Mn5 Mn 0.529 0.977 0.929
Mn6 Mn 0.641 0.418 0.503
Mn7 Mn 0.827 0.444 0.993
Mn8 Mn 0.834 0.926 0.499
O1 O 0.064 0.643 0.978
O2 O 0.067 0.119 0.429
O3 O 0.078 0.717 0.538
O4 O 0.284 0.964 0.765
O5 O 0.335 0.429 0.341
O6 O 0.345 0.922 0.163
O7 O 0.390 0.410 0.712
O8 O 0.569 0.132 0.452
O9 O 0.636 0.199 0.059
O10 O 0.786 0.980 0.753
O11 O 0.848 0.461 0.277
O12 O 0.862 0.841 0.260
O13 O 0.893 0.367 0.722
F1 F 0.164 0.266 0.049
F2 F 0.551 0.658 0.935
F3 F 0.589 0.718 0.550
```

The following is a theoretical XRD peak list of CaMn8O13F3. It was derived from a PBE+U-relaxed structure, using Cu Ka.
Intensities are scaled so that the largest is 100.

Largest 8 diffraction maxima, sorted by position, 2θ from 10° to 90°:
index  2theta  d/Å  I/Imax
-1 1 1  21.85  4.068  56
1 0 -2  25.80  3.453  100
-1 1 2  29.35  3.043  29
1 -2 0  30.44  2.936  58
1 0 2  31.22  2.865  52
1 2 0  31.65  2.827  45
2 1 -1  33.69  2.660  46
1 0 -3  36.63  2.453  28

Structural model:
```
data_CaMn8O13F3
_symmetry_space_group_name_H-M 'P 1'
_symmetry_Int_Tables_number 1
_cell_length_a 5.994
_cell_length_b 6.625
_cell_length_c 7.536
_cell_angle_alpha 92.15
_cell_angle_beta 101.79
_cell_angle_gamma 92.06
loop_
_symmetry_equiv_pos_as_xyz
'x,y,z'
loop_
_atom_site_label
_atom_site_type_symbol
_atom_site_fract_x
_atom_site_fract_y
_atom_site_fract_z
Ca1 Ca 0.000 0.000 0.000
Mn1 Mn 0.066 0.252 0.370
Mn2 Mn 0.171 0.684 0.739
Mn3 Mn 0.312 0.706 0.308
Mn4 Mn 0.334 0.215 0.789
Mn5 Mn 0.550 0.969 0.101
Mn6 Mn 0.613 0.457 0.559
Mn7 Mn 0.740 0.491 0.123
Mn8 Mn 0.795 0.953 0.554
O1 O 0.061 0.515 0.272
O2 O 0.098 0.972 0.721
O3 O 0.152 0.428 0.814
O4 O 0.294 0.774 0.048
O5 O 0.347 0.175 0.043
O6 O 0.353 0.262 0.542
O7 O 0.388 0.669 0.567
O8 O 0.534 0.507 0.303
O9 O 0.542 0.926 0.344
O10 O 0.751 0.763 0.075
O11 O 0.805 0.202 0.160
O12 O 0.824 0.243 0.534
O13 O 0.847 0.672 0.604
F1 F 0.095 0.944 0.335
F2 F 0.595 0.013 0.825
F3 F 0.641 0.423 0.839
```

The following is a theoretical XRD peak list of CaMn8O13F3. It was derived from a PBE+U-relaxed structure, using Cu Ka.
Intensities are scaled so that the largest is 100.

Largest 8 diffraction maxima, sorted by position, 2θ from 10° to 90°:
index  2theta  d/Å  I/Imax
-1 1 1  22.47  3.958  100
1 1 1  26.44  3.371  90
1 0 -2  27.20  3.278  62
1 -2 0  29.64  3.014  99
1 2 0  31.46  2.843  86
1 0 2  32.01  2.796  84
0 2 -2  34.90  2.571  42
2 -2 0  39.76  2.267  74

Structural model:
```
data_CaMn8O13F3
_symmetry_space_group_name_H-M 'P 1'
_symmetry_Int_Tables_number 1
_cell_length_a 5.847
_cell_length_b 6.831
_cell_length_c 7.199
_cell_angle_alpha 94.81
_cell_angle_beta 99.90
_cell_angle_gamma 92.86
loop_
_symmetry_equiv_pos_as_xyz
'x,y,z'
loop_
_atom_site_label
_atom_site_type_symbol
_atom_site_fract_x
_atom_site_fract_y
_atom_site_fract_z
Ca1 Ca 0.000 0.000 0.000
Mn1 Mn 0.030 0.696 0.573
Mn2 Mn 0.146 0.191 0.584
Mn3 Mn 0.222 0.642 0.081
Mn4 Mn 0.400 0.413 0.366
Mn5 Mn 0.460 0.944 0.855
Mn6 Mn 0.619 0.950 0.384
Mn7 Mn 0.704 0.415 0.800
Mn8 Mn 0.800 0.346 0.204
O1 O 0.106 0.220 0.318
O2 O 0.181 0.612 0.340
O3 O 0.192 0.754 0.834
O4 O 0.378 0.982 0.578
O5 O 0.386 0.899 0.146
O6 O 0.403 0.395 0.628
O7 O 0.494 0.462 0.131
O8 O 0.632 0.222 0.374
O9 O 0.682 0.163 0.915
O10 O 0.825 0.910 0.229
O11 O 0.913 0.981 0.584
O12 O 0.950 0.461 0.017
O13 O 0.952 0.422 0.618
F1 F 0.218 0.184 0.855
F2 F 0.659 0.674 0.453
F3 F 0.699 0.725 0.838
```

The following is a theoretical XRD peak list of CaMn8O13F3. It was derived from a PBE+U-relaxed structure, using Cu Ka.
Intensities are scaled so that the largest is 100.

Largest 8 diffraction maxima, sorted by position, 2θ from 10° to 90°:
index  2theta  d/Å  I/Imax
0 0 1  11.63  7.609  62
0 1 0  12.27  7.212  74
1 -1 0  21.69  4.097  97
1 -1 1  23.80  3.739  65
1 0 -2  30.91  2.893  72
1 -2 0  31.54  2.837  55
0 2 2  32.84  2.727  76
2 1 1  33.25  2.695  100

Structural model:
```
data_CaMn8O13F3
_symmetry_space_group_name_H-M 'P 1'
_symmetry_Int_Tables_number 1
_cell_length_a 5.601
_cell_length_b 7.319
_cell_length_c 7.770
_cell_angle_alpha 83.94
_cell_angle_beta 79.25
_cell_angle_gamma 81.30
loop_
_symmetry_equiv_pos_as_xyz
'x,y,z'
loop_
_atom_site_label
_atom_site_type_symbol
_atom_site_fract_x
_atom_site_fract_y
_atom_site_fract_z
Ca1 Ca 0.000 0.000 0.000
Mn1 Mn 0.039 0.620 0.365
Mn2 Mn 0.130 0.227 0.628
Mn3 Mn 0.288 0.713 0.714
Mn4 Mn 0.403 0.228 0.214
Mn5 Mn 0.497 0.177 0.840
Mn6 Mn 0.630 0.428 0.433
Mn7 Mn 0.805 0.530 0.979
Mn8 Mn 0.885 0.987 0.475
O1 O 0.041 0.701 0.916
O2 O 0.056 0.753 0.561
O3 O 0.189 0.126 0.412
O4 O 0.321 0.022 0.735
O5 O 0.358 0.475 0.305
O6 O 0.386 0.046 0.062
O7 O 0.406 0.370 0.641
O8 O 0.615 0.318 0.004
O9 O 0.681 0.185 0.365
O10 O 0.848 0.095 0.699
O11 O 0.862 0.503 0.225
O12 O 0.912 0.431 0.544
O13 O 0.936 0.855 0.271
F1 F 0.065 0.312 0.881
F2 F 0.548 0.694 0.502
F3 F 0.556 0.676 0.852
```

The following is a theoretical XRD peak list of CaMnSnF6. It was derived from a PBE+U-relaxed structure, using Cu Ka.
Intensities are scaled so that the largest is 100.

Largest 8 diffraction maxima, sorted by position, 2θ from 10° to 90°:
index  2theta  d/Å  I/Imax
1 0 1  18.81  4.717  26
1 1 0  23.98  3.710  100
1 0 3  30.18  2.961  64
1 1 3  34.78  2.579  14
2 1 3  46.23  1.964  74
2 2 0  49.11  1.855  20
1 1 6  57.03  1.615  17
3 0 3  58.73  1.572  27

Structural model:
```
data_CaMnSnF6
_symmetry_space_group_name_H-M 'P 42 n m'
_symmetry_Int_Tables_number 102
_cell_length_a 5.247
_cell_length_b 5.247
_cell_length_c 10.762
_cell_angle_alpha 90.00
_cell_angle_beta 90.00
_cell_angle_gamma 90.00
loop_
_symmetry_equiv_pos_as_xyz
'x,y,z'
'-y+1/2,x+1/2,z+1/2'
'-x,-y,z'
'y+1/2,-x+1/2,z+1/2'
'-x+1/2,y+1/2,z+1/2'
'y,x,z'
'x+1/2,-y+1/2,z+1/2'
'-y,-x,z'
loop_
_atom_site_label
_atom_site_type_symbol
_atom_site_fract_x
_atom_site_fract_y
_atom_site_fract_z
Ca1 Ca 0.000 0.000 0.000
Mn1 Mn 0.000 0.000 0.665
Sn1 Sn 0.000 0.000 0.332
F1 F 0.180 0.180 0.825
F2 F 0.193 0.193 0.515
F3 F 0.208 0.208 0.158
```